Structure and theoretical powder XRD pattern of Rb5MgTl6 (a GGA-PBE-relaxed structure; λ = 1.5418 Å (Cu Kα)).
Peak positions follow from Bragg's law for the DFT cell and can differ from measured ones.

Structure:
```
12
Lattice="3.865 -8.532 0.000 3.865 8.532 0.000 -3.320 0.000 8.551" Properties=species:S:1:pos:R:3 pbc="T T T"
Rb 0.000 0.000 0.000
Rb 3.865 3.621 0.000
Rb 2.205 2.381 4.276
Rb 2.205 -2.381 4.276
Rb 3.865 -3.621 0.000
Mg -1.660 0.000 4.276
Tl 2.175 5.992 2.721
Tl 2.236 5.992 5.831
Tl 0.015 0.000 6.932
Tl 4.396 0.000 1.619
Tl 2.175 -5.992 2.721
Tl 2.236 -5.992 5.831
```

Principal peaks in the range 2θ from 10° to 90°, by angle:
13.90°, 6.373 Å, intensity 100; 19.89°, 4.465 Å, intensity 28; 23.30°, 3.818 Å, intensity 46; 25.37°, 3.510 Å, intensity 28; 25.94°, 3.435 Å, intensity 33; 29.70°, 3.008 Å, intensity 37; 31.26°, 2.861 Å, intensity 60; 31.44°, 2.845 Å, intensity 30; 32.06°, 2.792 Å, intensity 87; 42.59°, 2.123 Å, intensity 25; 47.72°, 1.906 Å, intensity 26; 57.58°, 1.601 Å, intensity 19